TlAgHgTe: calculated XRD peak list (Cu Kα X-rays), based on DFT lattice parameters and positions (PBE).
Peak positions follow from Bragg's law for the DFT cell and can differ from measured ones.

abc: 4.7262 4.7262 40.2424
angles: 90.00 90.00 120.00
Space group R-3m (No. 166, hexagonal axes)
Inequivalent atoms, fractional coordinates:
1 Tl 0.0000 0.0000 0.0924 (multiplicity 6)
2 Ag 0.0000 0.0000 0.3114 (multiplicity 6)
3 Hg 0.0000 0.0000 0.1889 (multiplicity 6)
4 Te 0.0000 0.0000 0.3825 (multiplicity 6)

Top 10 peaks for 2θ from 15° to 90°, low angle first:
d 3.791, 23.46 deg, I 52.9, (1 0 4)
d 3.334, 26.74 deg, I 28.5, (1 0 7)
d 3.175, 28.11 deg, I 24.4, (0 1 8)
d 2.870, 31.17 deg, I 93.7, (1 0 10)
d 2.728, 32.83 deg, I 34.8, (0 1 11)
d 2.363, 38.08 deg, I 100.0, (1 1 0)
d 2.352, 38.26 deg, I 25.6, (0 1 14)
d 1.824, 50.00 deg, I 25.2, (0 2 10)
d 1.444, 64.54 deg, I 23.4, (2 1 10)
d 1.364, 68.82 deg, I 20.8, (3 0 0)



Th2AgHg6: calculated XRD peak list (Cu Kα X-rays), based on DFT lattice parameters and positions (PBE).
Peak positions follow from Bragg's law for the DFT cell and can differ from measured ones.

abc: 8.8135 8.8135 3.3152
angles: 90.00 90.00 120.00
Space group P6/mmm (No. 191)
Inequivalent atoms, fractional coordinates:
1 Th 0.3333 0.6667 0.0000 (multiplicity 2)
2 Ag 0.0000 0.0000 0.0000 (multiplicity 1)
3 Hg 0.0000 0.3253 0.5000 (multiplicity 6)

Top 10 peaks for 2θ from 15° to 90°, low angle first:
d 2.649, 33.84 deg, I 97.5, (1 1 1)
d 2.544, 35.28 deg, I 100.0, (3 0 0)
d 2.018, 44.91 deg, I 13.7, (3 0 1)
d 1.835, 49.68 deg, I 33.3, (2 2 1)
d 1.488, 62.39 deg, I 33.6, (4 1 1)
d 1.469, 63.31 deg, I 18.4, (3 3 0)
d 1.389, 67.43 deg, I 31.2, (3 0 2)
d 1.272, 74.60 deg, I 11.4, (6 0 0)
d 1.147, 84.48 deg, I 14.8, (5 2 1)
d 1.099, 89.05 deg, I 15.6, (3 3 2)



ThAg2Hg2: calculated XRD peak list (Cu Kα X-rays), based on DFT lattice parameters and positions (PBE).
Peak positions follow from Bragg's law for the DFT cell and can differ from measured ones.

abc: 5.874 9.052 9.339
angles: 90.00 90.00 90.00
Space group Fmmm (No. 69)
Inequivalent atoms, fractional coordinates:
1 Th 0.000 0.000 0.000 (multiplicity 4)
2 Ag 0.250 0.250 0.250 (multiplicity 8)
3 Hg 0.000 0.000 0.349 (multiplicity 8)

Top 10 peaks for 2θ from 15° to 90°, low angle first:
d 4.526, 19.61 deg, I 40.3, (0 2 0)
d 3.250, 27.44 deg, I 24.3, (0 2 2)
d 2.937, 30.44 deg, I 14.3, (2 0 0)
d 2.632, 34.07 deg, I 100.0, (1 1 3)
d 2.464, 36.47 deg, I 81.6, (2 2 0)
d 2.263, 39.83 deg, I 32.0, (0 4 0)
d 2.033, 44.57 deg, I 49.2, (1 3 3)
d 1.630, 56.44 deg, I 24.2, (3 1 3)
d 1.512, 61.30 deg, I 19.0, (1 5 3)
d 1.453, 64.10 deg, I 16.6, (3 3 3)



Th2Ag5Hg: calculated XRD peak list (Cu Kα X-rays), based on DFT lattice parameters and positions (PBE).
Peak positions follow from Bragg's law for the DFT cell and can differ from measured ones.

abc: 4.242 17.572 10.027
angles: 90.00 90.00 90.00
Space group Cmcm (No. 63)
Inequivalent atoms, fractional coordinates:
1 Th 0.000 0.000 0.000 (multiplicity 4)
2 Th 0.000 0.187 0.250 (multiplicity 4)
3 Ag 0.000 0.205 0.604 (multiplicity 8)
4 Ag 0.000 0.364 0.527 (multiplicity 8)
5 Ag 0.000 0.380 0.250 (multiplicity 4)
6 Hg 0.000 0.462 0.750 (multiplicity 4)

Top 10 peaks for 2θ from 15° to 90°, low angle first:
d 3.185, 28.02 deg, I 27.4, (1 1 2)
d 2.834, 31.57 deg, I 100.0, (1 3 2)
d 2.706, 33.10 deg, I 62.1, (1 5 0)
d 2.613, 34.32 deg, I 20.9, (1 5 1)
d 2.597, 34.54 deg, I 51.4, (1 1 3)
d 2.507, 35.82 deg, I 23.6, (0 0 4)
d 2.203, 40.97 deg, I 35.2, (0 6 3)
d 2.121, 42.62 deg, I 38.9, (2 0 0)
d 1.528, 60.60 deg, I 21.9, (2 6 3)
d 1.503, 61.72 deg, I 19.1, (1 3 6)